# 1
Starting from a GGA-PBE-relaxed structure, the PXRD pattern of BaSnAsO was calculated for λ = 1.5418 Å (Cu Kα).
Peak positions follow from Bragg's law for the DFT cell and can differ from measured ones.

Structural model:
```
data_BaSnAsO
_chemical_formula_sum 'Ba2 Sn2 As2 O2'
_space_group_name_H-M_alt 'P 1'
_space_group_IT_number 1
_cell_length_a 4.6207
_cell_length_b 4.6207
_cell_length_c 12.0005
_cell_angle_alpha 90.00
_cell_angle_beta 90.00
_cell_angle_gamma 120.00
loop_
_space_group_symop_operation_xyz
'x,y,z'
loop_
_atom_site_label
_atom_site_fract_x
_atom_site_fract_y
_atom_site_fract_z
_atom_site_occupancy
Ba1 0.3333 0.6667 0.0000 1
Ba2 0.6667 0.3333 0.5000 1
Sn1 0.0000 0.0000 0.2307 1
Sn2 0.0000 0.0000 0.7307 1
As1 0.3333 0.6667 0.2886 1
As2 0.6667 0.3333 0.7886 1
O1 0.0000 0.0000 0.0587 1
O2 0.0000 0.0000 0.5587 1
```

Most intense lines, 2θ = 10–90°, sorted by position:
Position (°2θ), Rel. int.
23.43, 87
26.78, 99
31.63, 81
38.98, 100
49.82, 67
51.05, 54

# 2
Starting from a GGA-PBE-relaxed structure, the PXRD pattern of ErTm3Zr was calculated for λ = 1.5418 Å (Cu Kα).
Peak positions follow from Bragg's law for the DFT cell and can differ from measured ones.

Structural model:
```
data_ErTm3Zr
_chemical_formula_sum 'Er2 Tm6 Zr2'
_space_group_name_H-M_alt 'P 1'
_space_group_IT_number 1
_cell_length_a 6.6446
_cell_length_b 6.6446
_cell_length_c 8.8687
_cell_angle_alpha 98.46
_cell_angle_beta 98.46
_cell_angle_gamma 127.31
loop_
_space_group_symop_operation_xyz
'x,y,z'
loop_
_atom_site_label
_atom_site_fract_x
_atom_site_fract_y
_atom_site_fract_z
_atom_site_occupancy
Er1 0.1317 0.8683 0.0000 1
Er2 0.8683 0.1317 0.0000 1
Tm1 0.1946 0.1946 0.3892 1
Tm2 0.2616 0.5315 0.7932 1
Tm3 0.4685 0.7384 0.2068 1
Tm4 0.5315 0.2616 0.7932 1
Tm5 0.7384 0.4685 0.2068 1
Tm6 0.8054 0.8054 0.6108 1
Zr1 0.2501 0.7499 0.5000 1
Zr2 0.7499 0.2501 0.5000 1
```

Most intense lines, 2θ = 10–90°, sorted by position:
Position (°2θ), Rel. int.
30.31, 34
31.59, 100
31.66, 46
31.90, 41
35.61, 22
54.68, 31

# 3
Starting from a GGA-PBE-relaxed structure, the PXRD pattern of Pr2NiAs3Rh4 was calculated for λ = 1.5418 Å (Cu Kα).
Peak positions follow from Bragg's law for the DFT cell and can differ from measured ones.

Structural model:
```
data_Pr2NiAs3Rh4
_chemical_formula_sum 'Pr2 Ni1 As3 Rh4'
_space_group_name_H-M_alt 'P 1'
_space_group_IT_number 1
_cell_length_a 4.2407
_cell_length_b 4.2407
_cell_length_c 10.1225
_cell_angle_alpha 90.00
_cell_angle_beta 90.00
_cell_angle_gamma 90.00
loop_
_space_group_symop_operation_xyz
'x,y,z'
loop_
_atom_site_label
_atom_site_fract_x
_atom_site_fract_y
_atom_site_fract_z
_atom_site_occupancy
Pr1 0.0000 0.5000 0.2394 1
Pr2 0.5000 0.0000 0.7606 1
Ni1 0.5000 0.5000 0.0000 1
As1 0.0000 0.0000 0.0000 1
As2 0.0000 0.5000 0.6376 1
As3 0.5000 0.0000 0.3624 1
Rh1 0.0000 0.0000 0.5000 1
Rh2 0.0000 0.5000 0.8762 1
Rh3 0.5000 0.0000 0.1238 1
Rh4 0.5000 0.5000 0.5000 1
```

Most intense lines, 2θ = 10–90°, sorted by position:
Position (°2θ), Rel. int.
33.95, 65
34.77, 100
42.64, 66
49.92, 25
55.59, 31
72.98, 22